1.
Diffraction record for Pm12CdPt6. The powder diffractogram is theoretical, not measured: it uses the GGA-PBE geometry in Alexandria and Cu Kα (λ = 1.5418 Å).
Lines closer than 0.1° are merged.

Largest 8 diffraction maxima, low angle first, 10 to 90 degrees two-theta:
- 2θ = 12.19°, intensity 14
- 2θ = 17.27°, intensity 14
- 2θ = 32.62°, intensity 100
- 2θ = 37.14°, intensity 15
- 2θ = 45.01°, intensity 30
- 2θ = 53.54°, intensity 17
- 2θ = 55.13°, intensity 19
- 2θ = 80.44°, intensity 16

Structure:
abc: 8.8940 8.8940 8.8940
angles: 109.47 109.47 109.47
Element x y z (fractional)
Pm  0.1221  0.8198  0.3022
Pm  0.1802  0.3022  0.4824
Pm  0.1802  0.6978  0.8779
Pm  0.3022  0.1221  0.8198
Pm  0.3022  0.4824  0.1802
Pm  0.4824  0.1802  0.3022
Pm  0.5176  0.8198  0.6978
Pm  0.6978  0.5176  0.8198
Pm  0.6978  0.8779  0.1802
Pm  0.8198  0.3022  0.1221
Pm  0.8198  0.6978  0.5176
Pm  0.8779  0.1802  0.6978
Cd  0.0000  0.0000  0.0000
Pt  0.1355  0.6355  0.5000
Pt  0.3645  0.5000  0.8645
Pt  0.5000  0.1355  0.6355
Pt  0.5000  0.8645  0.3645
Pt  0.6355  0.5000  0.1355
Pt  0.8645  0.3645  0.5000

---

2.
Diffraction record for Cs2DyHI6. The powder diffractogram is theoretical, not measured: it uses the GGA-PBE geometry in Alexandria and Cu Kα (λ = 1.5418 Å).
Lines closer than 0.1° are merged.

Largest 8 diffraction maxima, low angle first, 10 to 90 degrees two-theta:
- 2θ = 25.44°, intensity 27
- 2θ = 26.21°, intensity 100
- 2θ = 26.58°, intensity 65
- 2θ = 28.58°, intensity 40
- 2θ = 28.94°, intensity 20
- 2θ = 37.41°, intensity 26
- 2θ = 43.62°, intensity 24
- 2θ = 47.15°, intensity 22

Structure:
abc: 8.1396 8.3704 8.3790
angles: 108.55 108.68 108.76
Element x y z (fractional)
Cs  0.0005  0.2298  0.2707
Cs  0.9995  0.7702  0.7293
Dy  0.5000  0.5000  0.0000
H  0.5000  0.0000  0.5000
I  0.0630  0.3280  0.8284
I  0.3957  0.1363  0.6357
I  0.4997  0.2784  0.2200
I  0.5003  0.7216  0.7800
I  0.6043  0.8637  0.3643
I  0.9370  0.6720  0.1716